Theoretical X-ray powder pattern
Compound: CaSn2F6
Radiation: copper Kα
Structure: a structure optimized by DFT (GGA-PBE)
No peak broadening, texture or thermal motion is included.

Structural model:
Unit cell a=7.9167 b=7.9167 c=5.7736 alpha=97.87 beta=97.87 gamma=104.75
Atoms (fractional coordinates):
Ca 0.0866 0.9134 0.7500
Ca 0.9134 0.0866 0.2500
Sn 0.2244 0.4575 0.8811
Sn 0.4575 0.2244 0.3811
Sn 0.5425 0.7756 0.6189
Sn 0.7756 0.5425 0.1189
F 0.0690 0.6428 0.8474
F 0.0747 0.1805 0.6256
F 0.1805 0.0747 0.1256
F 0.2954 0.5153 0.5457
F 0.3572 0.9310 0.6526
F 0.4847 0.7046 0.9543
F 0.5153 0.2954 0.0457
F 0.6428 0.0690 0.3474
F 0.7046 0.4847 0.4543
F 0.8195 0.9253 0.8744
F 0.9253 0.8195 0.3744
F 0.9310 0.3572 0.1526

Most intense lines, 2θ = 10–90°, by angle:
d 7.532, I 24; d 4.188, I 49; d 4.164, I 100; d 3.426, I 83; d 3.135, I 44; d 3.046, I 39; d 3.035, I 29; d 2.805, I 28; d 1.960, I 36; d 1.920, I 30